Entry 1:
# Ba2Tl2W3O10
Calculated PXRD pattern, Cu Kα. Input: a structure optimized by DFT (PBE+U).

Peak list (10 most intense, 5° ≤ 2θ ≤ 70°, most intense first)
31.34 deg, I = 100; 31.96 deg, I = 93; 28.20 deg, I = 93; 32.67 deg, I = 90; 32.53 deg, I = 89; 22.75 deg, I = 87; 27.33 deg, I = 58; 46.23 deg, I = 56; 23.05 deg, I = 53; 33.55 deg, I = 51

Structural model:
```
data_Ba2Tl2W3O10
_cell_length_a 3.9181
_cell_length_b 3.9286
_cell_length_c 18.8083
_cell_angle_alpha 84.11
_cell_angle_beta 87.87
_cell_angle_gamma 88.78
_symmetry_space_group_name_H-M 'P 1'
_symmetry_Int_Tables_number 1
loop_
_symmetry_equiv_pos_as_xyz
'x,y,z'
loop_
_atom_site_label
_atom_site_fract_x
_atom_site_fract_y
_atom_site_fract_z
Ba1 0.0000 0.0000 0.0000
Ba2 0.1135 0.2960 0.3897
Tl1 0.2899 0.4233 0.1482
Tl2 0.8157 0.8734 0.2411
W1 0.5254 0.5662 0.8638
W2 0.5594 0.6512 0.6945
W3 0.5883 0.7298 0.5255
O1 0.0262 0.5664 0.8618
O2 0.0596 0.6515 0.6945
O3 0.0876 0.7296 0.5274
O4 0.4966 0.3634 0.2752
O5 0.5073 0.5148 0.9683
O6 0.5278 0.0670 0.8611
O7 0.5596 0.1514 0.6945
O8 0.5858 0.2292 0.5280
O9 0.6069 0.7817 0.4208
O10 0.6067 0.9339 0.1134
```

***

Entry 2:
# Ba2TlW2O7
Calculated PXRD pattern, Cu Kα. Input: a structure optimized by DFT (PBE+U).

Peak list (10 most intense, 5° ≤ 2θ ≤ 70°, most intense first)
30.32 deg, I = 100; 31.88 deg, I = 66; 26.19 deg, I = 38; 55.83 deg, I = 37; 47.26 deg, I = 33; 45.70 deg, I = 33; 33.96 deg, I = 26; 22.39 deg, I = 24; 58.14 deg, I = 21; 60.80 deg, I = 20

Structural model:
```
data_Ba2TlW2O7
_cell_length_a 3.9704
_cell_length_b 3.9704
_cell_length_c 13.1984
_cell_angle_alpha 90.00
_cell_angle_beta 90.00
_cell_angle_gamma 90.00
_symmetry_space_group_name_H-M 'P 4/m m m'
_symmetry_Int_Tables_number 123
_symmetry_space_group_name_Hall '-P 4 2'
loop_
_atom_site_label
_atom_site_fract_x
_atom_site_fract_y
_atom_site_fract_z
Ba1 0.0000 0.0000 0.1965
Tl1 0.5000 0.5000 0.0000
W1 0.5000 0.5000 0.3713
O1 0.0000 0.0000 0.0000
O2 0.0000 0.5000 0.3735
O3 0.5000 0.5000 0.2166
```